[1]
La5In2Rh: simulated powder XRD pattern (λ = 1.5418 Å (Cu Kα)), based on the PBE geometry in Alexandria.
Kinematic intensities with the Lorentz-polarization factor, no thermal factor.

Structure:
```
data_La5In2Rh
_chemical_formula_sum 'La10 In4 Rh2'
_space_group_name_H-M_alt 'P b a m'
_space_group_IT_number 55
_cell_length_a 8.1483
_cell_length_b 12.6554
_cell_length_c 4.9753
_cell_angle_alpha 90.00
_cell_angle_beta 90.00
_cell_angle_gamma 90.00
loop_
_space_group_symop_operation_xyz
'x,y,z'
'-x,-y,-z'
'-x,-y,z'
'x,y,-z'
'x+1/2,-y+1/2,-z'
'-x+1/2,y+1/2,z'
'-x+1/2,y+1/2,-z'
'x+1/2,-y+1/2,z'
loop_
_atom_site_label
_atom_site_fract_x
_atom_site_fract_y
_atom_site_fract_z
La1 0.0000 0.0000 0.0000
La2 0.1297 0.2986 0.0000
La3 0.1860 0.5718 0.5000
In1 0.0829 0.8331 0.5000
Rh1 0.0000 0.5000 0.0000
```

The 8 most intense peaks (2θ = 5–70°), by intensity:
2θ/deg  d/Å  I_rel  h k l
29.2  3.059  100  2 1 1
29.9  2.993  57  1 3 1
31.7  2.821  56  2 2 1
36.1  2.488  55  0 0 2
30.3  2.949  47  1 4 0
33.6  2.670  34  0 4 1
47.8  1.902  27  1 4 2
25.3  3.526  24  1 2 1

---

[2]
TiHNO2: simulated powder XRD pattern (λ = 1.5418 Å (Cu Kα)), based on the PBE geometry in Alexandria.
Kinematic intensities with the Lorentz-polarization factor, no thermal factor.

Structure:
```
data_TiHNO2
_chemical_formula_sum 'Ti1 H1 N1 O2'
_space_group_name_H-M_alt 'P 4/m m m'
_space_group_IT_number 123
_space_group_name_Hall '-P 4 2'
_cell_length_a 3.6784
_cell_length_b 3.6784
_cell_length_c 2.6358
_cell_angle_alpha 90.00
_cell_angle_beta 90.00
_cell_angle_gamma 90.00
loop_
_atom_site_label
_atom_site_fract_x
_atom_site_fract_y
_atom_site_fract_z
Ti1 0.0000 0.0000 0.0000
H1 0.5000 0.5000 0.5000
N1 0.5000 0.5000 0.0000
O1 0.0000 0.5000 0.5000
```

The 8 most intense peaks (2θ = 5–70°), by intensity:
2θ/deg  d/Å  I_rel  h k l
49.2  1.851  100  1 1 1
49.6  1.839  51  2 0 0
24.2  3.678  48  1 0 0
42.2  2.143  26  1 0 1
34.5  2.601  16  1 1 0
67.1  1.396  13  2 1 1
55.9  1.645  10  2 1 0
34.0  2.636  7  0 0 1